Computed powder diffraction line list
Compound: Cs3Au2Br
Radiation: Cu Kα (weighted mean of Kα1 and Kα2)
Structure: a structure optimized by DFT (GGA-PBE)
Lines closer than 0.1° are merged.

Main lines, by angle (2θ from 10° to 80°):
hkl 1 0 3, 2θ = 24.07°, rel. 1000; hkl 0 0 6, 2θ = 34.21°, rel. 135; hkl 2 0 0, 2θ = 34.32°, rel. 671; hkl 0 2 6, 2θ = 42.29°, rel. 150; hkl 2 2 0, 2θ = 42.40°, rel. 149; hkl 2 0 6, 2θ = 49.26°, rel. 96; hkl 2 2 6, 2θ = 55.56°, rel. 138; hkl 3 0 3, 2θ = 55.64°, rel. 202; hkl 1 2 9, 2θ = 61.32°, rel. 100; hkl 3 2 3, 2θ = 61.48°, rel. 199

Atomic structure:
```
data_Cs3Au2Br
_chemical_formula_sum 'Cs6 Au4 Br2'
_cell_length_a 5.2223
_cell_length_b 7.3846
_cell_length_c 15.7262
_cell_angle_alpha 90.00
_cell_angle_beta 90.00
_cell_angle_gamma 90.00
_space_group_name_H-M_alt 'P 1'
_space_group_IT_number 1
_space_group_name_Hall 'P 1'
loop_
_atom_site_label
_atom_site_type_symbol
_atom_site_fract_x
_atom_site_fract_y
_atom_site_fract_z
Cs1 Cs 0.0000 0.0000 0.0000
Cs2 Cs 0.0000 0.0000 0.3355
Cs3 Cs 0.0000 0.0000 0.6645
Cs4 Cs 0.5000 0.5000 0.1645
Cs5 Cs 0.5000 0.5000 0.5000
Cs6 Cs 0.5000 0.5000 0.8355
Au1 Au 0.0000 0.5000 0.3334
Au2 Au 0.0000 0.5000 0.6666
Au3 Au 0.5000 0.0000 0.1666
Au4 Au 0.5000 0.0000 0.8334
Br1 Br 0.0000 0.5000 0.0000
Br2 Br 0.5000 0.0000 0.5000
```